Computed XRD peak list of Yb2Ge3 for CuKα, from a PBE-relaxed structure.
Kinematic intensities with the Lorentz-polarization factor, no thermal factor.

Cell and atoms:
```
data_Yb2Ge3
_chemical_formula_sum 'Yb2 Ge3'
_cell_length_a 4.3031
_cell_length_b 4.3031
_cell_length_c 7.6626
_cell_angle_alpha 90.00
_cell_angle_beta 90.00
_cell_angle_gamma 120.00
_space_group_name_H-M_alt 'P -6 m 2'
_space_group_IT_number 187
_space_group_name_Hall 'P -6 2'
loop_
_atom_site_label
_atom_site_fract_x
_atom_site_fract_y
_atom_site_fract_z
Yb1 0.0000 0.0000 0.2296
Ge1 0.3333 0.6667 0.5000
Ge2 0.6667 0.3333 0.0000
Ge3 0.6667 0.3333 0.5000
```

Largest 10 diffraction maxima, in order of rising 2θ, 10° ≤ 2θ ≤ 90°:
| 2θ (°) | intensity |
| --- | --- |
| 23.88 | 33 |
| 26.60 | 10 |
| 33.55 | 100 |
| 41.99 | 43 |
| 47.46 | 9 |
| 54.78 | 25 |
| 65.21 | 20 |
| 71.34 | 22 |
| 76.72 | 7 |
| 79.30 | 6 |

Computed XRD peak list of Yb3Ge8 for CuKα, from a PBE-relaxed structure.
Kinematic intensities with the Lorentz-polarization factor, no thermal factor.

Cell and atoms:
```
data_Yb3Ge8
_chemical_formula_sum 'Yb6 Ge16'
_cell_length_a 7.397
_cell_length_b 7.534
_cell_length_c 10.444
_cell_angle_alpha 69.08
_cell_angle_beta 69.97
_cell_angle_gamma 64.79
_space_group_name_H-M_alt 'P -1'
_space_group_IT_number 2
_space_group_name_Hall '-P 1'
loop_
_atom_site_label
_atom_site_fract_x
_atom_site_fract_y
_atom_site_fract_z
Yb1 0.161 0.409 0.227
Yb2 0.167 0.820 0.375
Yb3 0.321 0.065 0.779
Ge1 0.125 0.857 0.075
Ge2 0.167 0.805 0.693
Ge3 0.180 0.406 0.930
Ge4 0.181 0.395 0.518
Ge5 0.324 0.048 0.474
Ge6 0.328 0.054 0.084
Ge7 0.378 0.627 0.907
Ge8 0.385 0.466 0.642
```

Largest 10 diffraction maxima, in order of rising 2θ, 10° ≤ 2θ ≤ 90°:
| 2θ (°) | intensity |
| --- | --- |
| 27.36 | 63 |
| 31.18 | 67 |
| 32.28 | 54 |
| 34.35 | 91 |
| 35.95 | 75 |
| 36.40 | 100 |
| 37.69 | 64 |
| 38.37 | 65 |
| 39.11 | 49 |
| 40.00 | 76 |